# 1
For Tb2PrNdP4, DFT lattice parameters and positions (GGA-PBE) gives the simulated powder XRD pattern in this record (CuKα).
Neutral-atom scattering factors, no anomalous dispersion.

Crystal structure
```
Tb2PrNdP4
1.0
-2.905 2.905 5.816
2.905 -2.905 5.816
2.905 2.905 -5.816
Tb Pr Nd P
2 1 1 4
Cartesian
2.905 0.000 2.908 Tb
0.000 2.905 2.908 Tb
0.000 0.000 0.000 Pr
0.000 0.000 5.816 Nd
2.905 0.000 0.000 P
0.000 0.000 2.918 P
0.000 2.905 0.000 P
0.000 0.000 8.715 P
```

Peak list (10 most intense, 2θ = 10–90°, by angle)
2θ/deg	intensity
26.56	82.3
30.77	100.0
44.07	73.4
52.20	40.7
54.71	25.7
64.09	11.9
70.64	16.4
72.77	32.9
81.05	24.8
87.10	6.4

=====

# 2
For MgZn2SnAu4, DFT lattice parameters and positions (GGA-PBE) gives the simulated powder XRD pattern in this record (CuKα).
Neutral-atom scattering factors, no anomalous dispersion.

Crystal structure
```
MgZn2SnAu4
1.0
2.260 1.305 8.430
-2.260 1.305 8.430
0.000 -2.610 8.430
Mg Zn Sn Au
1 2 1 4
Cartesian
0.000 0.000 0.000 Mg
0.000 0.000 6.635 Zn
0.000 0.000 18.656 Zn
0.000 0.000 12.645 Sn
0.000 0.000 2.812 Au
0.000 0.000 9.514 Au
0.000 0.000 15.777 Au
0.000 0.000 22.479 Au
```

Peak list (10 most intense, 2θ = 10–90°, by angle)
2θ/deg	intensity
26.78	55.4
28.84	10.7
36.53	100.0
39.89	99.3
42.56	10.1
48.70	11.5
55.19	30.7
70.24	30.1
72.42	17.4
86.03	11.5

=====

# 3
For Ba3Sc4Cu3O12, DFT lattice parameters and positions (GGA-PBE) gives the simulated powder XRD pattern in this record (CuKα).
Neutral-atom scattering factors, no anomalous dispersion.

Crystal structure
```
Ba3Sc4Cu3O12
1.0
-6.017 6.017 4.231
6.017 -6.017 4.231
6.017 6.017 -4.231
Ba Sc Cu O
6 8 6 24
Cartesian
0.000 0.000 0.000 Ba
8.699 2.682 0.000 Ba
2.682 3.335 0.000 Ba
0.000 0.000 4.231 Ba
3.335 2.682 4.231 Ba
-2.682 3.335 4.231 Ba
6.017 3.116 -2.115 Sc
3.116 6.017 -2.115 Sc
2.901 0.000 2.115 Sc
0.000 2.901 2.115 Sc
6.017 3.116 2.115 Sc
3.116 6.017 2.115 Sc
2.901 0.000 6.346 Sc
0.000 2.901 6.346 Sc
4.769 1.248 0.000 Cu
6.017 0.000 2.115 Cu
4.769 -1.248 4.231 Cu
1.248 7.265 0.000 Cu
0.000 6.017 2.115 Cu
1.248 4.769 4.231 Cu
3.158 0.016 0.000 O
7.413 -1.396 1.952 O
4.483 4.483 -2.115 O
1.534 -1.534 2.115 O
4.621 -1.396 2.279 O
6.001 2.860 0.000 O
6.001 -2.860 4.231 O
4.621 1.396 1.952 O
-1.534 1.534 2.115 O
1.534 1.534 2.115 O
7.413 1.396 2.279 O
3.158 -0.016 4.231 O
2.860 6.034 0.000 O
-1.396 4.621 1.952 O
4.483 4.483 2.115 O
1.534 -1.534 6.346 O
1.396 4.621 2.279 O
0.016 8.877 0.000 O
0.016 3.158 4.231 O
1.396 7.413 1.952 O
-1.534 1.534 6.346 O
1.534 1.534 6.346 O
-1.396 7.413 2.279 O
2.860 6.001 4.231 O
```

Peak list (10 most intense, 2θ = 10–90°, by angle)
2θ/deg	intensity
20.88	16.8
28.75	37.6
29.75	100.0
31.62	55.7
32.45	27.6
42.49	49.4
42.75	33.6
43.92	14.9
47.18	17.4
61.85	28.4

=====

# 4
For Ho7TlSe5, DFT lattice parameters and positions (GGA-PBE) gives the simulated powder XRD pattern in this record (CuKα).
Neutral-atom scattering factors, no anomalous dispersion.

Crystal structure
```
Ho7TlSe5
1.0
2.019 -6.711 0.000
2.019 6.711 0.000
0.000 0.000 24.162
Ho Tl Se
14 2 10
Cartesian
2.019 6.483 18.122 Ho
2.019 4.848 0.856 Ho
2.019 4.848 11.225 Ho
2.019 2.437 16.361 Ho
2.019 2.437 19.883 Ho
2.019 1.276 2.772 Ho
2.019 1.276 9.309 Ho
2.019 -1.276 14.854 Ho
2.019 -1.276 21.390 Ho
2.019 -2.437 4.280 Ho
2.019 -2.437 7.802 Ho
2.019 -4.848 12.937 Ho
2.019 -4.848 23.307 Ho
2.019 -6.483 6.041 Ho
2.019 2.583 6.041 Tl
2.019 -2.583 18.122 Tl
2.019 6.071 3.375 Se
2.019 6.071 8.706 Se
2.019 3.685 13.815 Se
2.019 3.685 22.428 Se
2.019 0.000 0.000 Se
2.019 0.000 12.081 Se
2.019 -3.685 1.734 Se
2.019 -3.685 10.347 Se
2.019 -6.071 15.456 Se
2.019 -6.071 20.787 Se
```

Peak list (10 most intense, 2θ = 10–90°, by angle)
2θ/deg	intensity
29.09	70.7
29.58	19.3
30.73	100.0
31.85	52.8
32.51	24.2
40.92	33.1
43.14	24.1
44.65	45.8
44.89	32.3
54.38	24.9

=====

# 5
For Nd2Ti3Cl2O8, DFT lattice parameters and positions (GGA-PBE) gives the simulated powder XRD pattern in this record (CuKα).
Neutral-atom scattering factors, no anomalous dispersion.

Crystal structure
```
Nd2Ti3Cl2O8
1.0
15.080 0.000 0.000
0.000 11.665 0.000
0.000 0.000 5.048
Nd Ti Cl O
8 12 8 32
Cartesian
2.497 1.594 0.118 Nd
2.497 10.071 2.642 Nd
5.044 4.238 2.642 Nd
5.044 7.427 0.118 Nd
10.037 4.238 4.930 Nd
10.037 7.427 2.406 Nd
12.584 1.594 2.406 Nd
12.584 10.071 4.930 Nd
0.000 4.740 3.786 Ti
0.000 6.925 1.262 Ti
2.424 4.929 0.651 Ti
2.424 6.737 3.175 Ti
5.116 0.904 3.175 Ti
5.116 10.761 0.651 Ti
7.540 1.092 1.262 Ti
7.540 10.573 3.786 Ti
9.964 0.904 4.397 Ti
9.964 10.761 1.873 Ti
12.657 4.929 1.873 Ti
12.657 6.737 4.397 Ti
1.216 1.158 2.630 Cl
1.216 10.507 0.106 Cl
6.324 4.674 0.106 Cl
6.324 6.991 2.630 Cl
8.756 4.674 2.417 Cl
8.756 6.991 4.941 Cl
13.864 1.158 4.941 Cl
13.864 10.507 2.417 Cl
1.142 5.307 2.212 O
1.142 6.358 4.736 O
1.219 3.686 4.675 O
1.219 7.979 2.152 O
3.309 3.486 1.274 O
3.309 8.180 3.798 O
3.539 5.460 4.173 O
3.539 6.205 1.650 O
4.001 0.372 1.650 O
4.001 11.293 4.173 O
4.231 2.347 3.798 O
4.231 9.318 1.274 O
6.322 2.146 2.152 O
6.322 9.519 4.675 O
6.398 0.526 4.736 O
6.398 11.140 2.212 O
8.683 0.526 2.836 O
8.683 11.140 0.312 O
8.759 2.146 0.372 O
8.759 9.519 2.896 O
10.850 2.347 3.774 O
10.850 9.318 1.250 O
11.079 0.372 0.874 O
11.079 11.293 3.398 O
11.541 5.460 3.398 O
11.541 6.205 0.874 O
11.771 3.486 1.250 O
11.771 8.180 3.774 O
13.862 3.686 2.896 O
13.862 7.979 0.372 O
13.938 5.307 0.312 O
13.938 6.358 2.836 O
```

Peak list (10 most intense, 2θ = 10–90°, by angle)
2θ/deg	intensity
11.74	41.5
19.23	32.2
22.53	99.6
23.62	34.1
24.05	50.2
29.03	43.5
30.60	100.0
37.71	53.1
38.02	38.6
43.13	34.3

=====

# 6
For Ac4Sb7Pb5, DFT lattice parameters and positions (GGA-PBE) gives the simulated powder XRD pattern in this record (CuKα).
Neutral-atom scattering factors, no anomalous dispersion.

Crystal structure
```
Ac4Sb7Pb5
1.0
-3.328 3.328 11.817
3.328 -3.328 11.817
3.328 3.328 -11.817
Ac Sb Pb
4 7 5
Cartesian
1.734 1.734 -2.615 Ac
1.594 -1.594 14.432 Ac
1.594 1.594 9.202 Ac
-1.594 1.594 14.432 Ac
3.328 0.000 0.000 Sb
1.756 -1.756 8.586 Sb
1.572 1.572 3.231 Sb
0.000 3.328 0.000 Sb
0.000 0.000 11.817 Sb
-1.756 1.756 8.586 Sb
1.756 1.756 15.048 Sb
0.000 0.000 0.000 Pb
0.000 0.000 5.715 Pb
3.328 0.000 5.908 Pb
0.000 3.328 5.908 Pb
0.000 0.000 17.919 Pb
```

Peak list (10 most intense, 2θ = 10–90°, by angle)
2θ/deg	intensity
30.25	22.8
30.83	100.0
35.89	6.8
38.24	29.8
49.52	22.3
54.11	12.7
55.19	10.2
64.24	10.0
64.57	23.7
80.96	7.9

=====

# 7
For KRb2Pb, DFT lattice parameters and positions (GGA-PBE) gives the simulated powder XRD pattern in this record (CuKα).
Neutral-atom scattering factors, no anomalous dispersion.

Crystal structure
```
KRb2Pb
1.0
7.653 0.000 0.000
0.000 5.778 0.000
-3.805 0.000 11.231
K Rb Pb
2 4 2
Cartesian
0.000 0.000 0.000 K
-2.047 0.000 7.303 K
-0.017 2.889 4.050 Rb
-0.008 2.889 10.471 Rb
1.808 0.000 7.280 Rb
3.853 0.000 3.217 Rb
3.893 2.889 5.778 Pb
3.856 2.889 8.862 Pb
```

Peak list (10 most intense, 2θ = 10–90°, by angle)
2θ/deg	intensity
12.22	100.0
19.65	33.6
22.65	82.8
23.25	41.1
27.97	50.9
28.41	33.7
29.10	52.1
30.20	43.9
30.95	41.4
34.04	59.9

=====

# 8
For Li2ZrPd, DFT lattice parameters and positions (GGA-PBE) gives the simulated powder XRD pattern in this record (CuKα).
Neutral-atom scattering factors, no anomalous dispersion.

Crystal structure
```
Li2ZrPd
1.0
1.436 0.829 10.025
-1.436 0.829 10.025
0.000 -1.658 10.025
Li Zr Pd
2 1 1
Cartesian
0.000 0.000 2.967 Li
0.000 0.000 27.108 Li
0.000 0.000 0.000 Zr
0.000 0.000 15.037 Pd
```

Peak list (10 most intense, 2θ = 10–90°, by angle)
2θ/deg	intensity
17.69	100.0
35.83	19.0
36.61	53.3
38.10	42.5
43.63	32.0
47.43	26.9
56.61	13.1
64.93	10.2
67.88	14.8
76.44	11.9

=====

# 9
For InSbH, DFT lattice parameters and positions (GGA-PBE) gives the simulated powder XRD pattern in this record (CuKα).
Neutral-atom scattering factors, no anomalous dispersion.

Crystal structure
```
InSbH
1.0
5.700 -3.772 0.000
5.700 3.772 0.000
-1.917 0.000 4.276
In Sb H
2 2 2
Cartesian
1.285 0.000 0.578 In
8.198 0.000 3.698 In
1.500 -1.086 3.242 Sb
7.983 -1.086 1.034 Sb
2.820 -0.130 3.832 H
6.663 -0.130 0.445 H
```

Peak list (10 most intense, 2θ = 10–90°, by angle)
2θ/deg	intensity
14.50	79.8
17.05	100.0
20.79	50.4
22.33	62.1
23.58	56.1
28.23	79.7
40.72	64.1
41.47	96.9
42.22	45.5
44.46	46.0

=====

# 10
For LiAc3Be2Pd9, DFT lattice parameters and positions (GGA-PBE) gives the simulated powder XRD pattern in this record (CuKα).
Neutral-atom scattering factors, no anomalous dispersion.

Crystal structure
```
LiAc3Be2Pd9
1.0
6.734 0.000 0.000
-3.367 5.832 0.000
0.000 0.000 7.261
Li Ac Be Pd
1 3 2 9
Cartesian
0.000 0.000 0.000 Li
0.000 0.000 3.630 Ac
0.000 3.888 1.212 Ac
3.367 1.944 6.049 Ac
0.000 3.888 4.786 Be
3.367 1.944 2.474 Be
-1.684 2.916 3.630 Pd
0.000 2.033 6.012 Pd
-1.607 4.815 6.012 Pd
1.760 1.016 1.249 Pd
3.367 0.000 3.630 Pd
1.684 2.916 3.630 Pd
1.607 4.815 6.012 Pd
4.974 1.016 1.249 Pd
3.367 3.799 1.249 Pd
```

Peak list (10 most intense, 2θ = 10–90°, by angle)
2θ/deg	intensity
19.52	13.1
33.11	100.0
37.15	24.5
39.64	63.7
54.51	24.9
60.04	18.7
65.27	13.7
67.81	24.6
69.47	11.9
72.75	10.1

=====

# 11
For CsSbTeH3, DFT lattice parameters and positions (GGA-PBE) gives the simulated powder XRD pattern in this record (CuKα).
Neutral-atom scattering factors, no anomalous dispersion.

Crystal structure
```
CsSbTeH3
1.0
5.870 -2.659 0.000
5.870 2.659 0.000
-3.719 0.000 5.550
Cs Sb Te H
1 1 1 3
Cartesian
0.000 0.000 0.000 Cs
3.543 0.000 2.095 Sb
8.247 0.000 1.760 Te
0.048 0.000 4.283 H
0.615 0.000 3.782 H
3.453 0.000 3.848 H
```

Peak list (10 most intense, 2θ = 10–90°, by angle)
2θ/deg	intensity
15.97	67.3
16.20	37.7
18.19	55.6
26.69	69.0
28.06	64.9
28.33	100.0
32.27	37.7
33.71	41.8
43.50	36.3
57.02	31.1